Entry 1:
Calculated XRD peak list
Compound: TmTlCoTe3
Radiation: copper Kα
Structure: DFT lattice parameters and positions (GGA-PBE)
Neutral-atom scattering factors, no anomalous dispersion.

Main lines, low angle first (2θ = 10–90°):
d 4.562, intensity 355, hkl 0 2 2
d 3.357, intensity 317, hkl 0 2 3
d 3.144, intensity 1000, hkl 1 3 1
d 2.822, intensity 491, hkl 1 3 2
d 2.720, intensity 381, hkl 1 1 3
d 2.410, intensity 287, hkl 0 6 2
d 2.308, intensity 313, hkl 1 5 2
d 2.281, intensity 378, hkl 0 4 4

Structure:
Cell lengths 4.148, 16.053, 11.089 Å; angles 90.00, 90.00, 90.00 degrees
Space group Cmcm (No. 63)
Symmetry-distinct sites (fractional):
Tm 0.000 0.000 0.000 [4 per cell]
Tl 0.000 0.244 0.250 [4 per cell]
Co 0.000 0.475 0.750 [4 per cell]
Te 0.000 0.074 0.750 [4 per cell]
Te 0.000 0.372 0.571 [8 per cell]



Entry 2:
Calculated XRD peak list
Compound: Th2Ga3Ir4
Radiation: copper Kα
Structure: DFT lattice parameters and positions (GGA-PBE)
Neutral-atom scattering factors, no anomalous dispersion.

Main lines, low angle first (2θ = 10–90°):
d 2.654, intensity 310, hkl 1 3 2
d 2.587, intensity 1000, hkl 1 5 1
d 2.540, intensity 701, hkl 2 2 1
d 2.315, intensity 614, hkl 0 2 3
d 2.260, intensity 898, hkl 2 0 2
d 2.130, intensity 286, hkl 0 6 2
d 1.817, intensity 270, hkl 0 0 4
d 1.603, intensity 239, hkl 3 5 1

Structure:
Cell lengths 5.774, 15.773, 7.265 Å; angles 90.00, 90.00, 90.00 degrees
Space group Cmce (No. 64)
Symmetry-distinct sites (fractional):
Th 0.000 0.108 0.089 [8 per cell]
Ga 0.000 0.000 0.500 [4 per cell]
Ga 0.250 0.230 0.750 [8 per cell]
Ir 0.000 0.176 0.470 [8 per cell]
Ir 0.250 0.067 0.750 [8 per cell]



Entry 3:
Calculated XRD peak list
Compound: YTlHgSe3
Radiation: copper Kα
Structure: DFT lattice parameters and positions (GGA-PBE)
Neutral-atom scattering factors, no anomalous dispersion.

Main lines, low angle first (2θ = 10–90°):
d 3.387, intensity 277, hkl 3 1 0
d 3.105, intensity 1000, hkl 1 1 -2
d 2.901, intensity 350, hkl 6 0 0
d 2.326, intensity 196, hkl 2 0 -4
d 2.134, intensity 282, hkl 5 1 2
d 2.085, intensity 237, hkl 0 2 0
d 1.941, intensity 180, hkl 7 1 -3
d 1.694, intensity 223, hkl 6 2 0

Structure:
Cell lengths 17.932, 4.171, 9.306 Å; angles 90.00, 103.88, 90.00 degrees
Space group C2/m (No. 12)
Symmetry-distinct sites (fractional):
Y 0.174 0.000 0.089 [4 per cell]
Tl 0.138 0.000 0.577 [4 per cell]
Hg 0.021 0.500 0.221 [4 per cell]
Se 0.000 0.000 0.000 [2 per cell]
Se 0.000 0.500 0.500 [2 per cell]
Se 0.165 0.500 0.874 [4 per cell]
Se 0.178 0.500 0.304 [4 per cell]



Entry 4:
Calculated XRD peak list
Compound: LiSbAu
Radiation: copper Kα
Structure: DFT lattice parameters and positions (GGA-PBE)
Neutral-atom scattering factors, no anomalous dispersion.

Main lines, low angle first (2θ = 10–90°):
d 3.904, intensity 962, hkl 1 0 0
d 3.650, intensity 615, hkl 0 0 2
d 3.443, intensity 852, hkl 1 0 1
d 2.666, intensity 452, hkl 1 0 2
d 2.254, intensity 1000, hkl 1 1 0
d 2.065, intensity 946, hkl 1 0 3
d 1.918, intensity 634, hkl 1 1 2
d 1.262, intensity 387, hkl 2 1 3

Structure:
Cell lengths 4.5084, 4.5084, 7.3002 Å; angles 90.00, 90.00, 120.00 degrees
Space group P6_3mc (No. 186)
Symmetry-distinct sites (fractional):
Li 0.0000 0.0000 0.0000 [2 per cell]
Sb 0.3333 0.6667 0.2307 [2 per cell]
Au 0.3333 0.6667 0.8527 [2 per cell]